Structure and simulated X-ray diffraction stick pattern of DyAl2Fe9 (a crystal structure in Alexandria, relaxed with GGA-PBE; Cu Kα, 1.54184 Å).

Structural model:
```
data_DyAl2Fe9
_cell_length_a 8.0531
_cell_length_b 8.0531
_cell_length_c 4.6273
_cell_angle_alpha 90.00
_cell_angle_beta 90.00
_cell_angle_gamma 90.00
_symmetry_space_group_name_H-M 'P 4/m b m'
_symmetry_Int_Tables_number 127
_symmetry_space_group_name_Hall '-P 4 2ab'
loop_
_atom_site_label
_atom_site_fract_x
_atom_site_fract_y
_atom_site_fract_z
Dy1 0.0000 0.0000 0.0000
Al1 0.1205 0.3795 0.0000
Fe1 0.0000 0.5000 0.5000
Fe2 0.0672 0.2113 0.5000
Fe3 0.1763 0.6763 0.2315
```

Most intense lines, 10 to 90 degrees two-theta, by angle:
- 2θ 24.78, 3.593 Å, rel. 40, hkl 1 1 1
- 2θ 37.07, 2.425 Å, rel. 39, hkl 2 2 1
- 2θ 40.43, 2.231 Å, rel. 100, hkl 3 1 1
- 2θ 45.06, 2.012 Å, rel. 23, hkl 3 2 1
- 2θ 45.20, 2.006 Å, rel. 39, hkl 2 0 2
- 2θ 46.49, 1.953 Å, rel. 41, hkl 4 1 0
- 2θ 46.66, 1.947 Å, rel. 43, hkl 2 1 2
- 2θ 50.71, 1.800 Å, rel. 31, hkl 4 2 0


Structure and simulated X-ray diffraction stick pattern of TbNdIrCl (a crystal structure in Alexandria, relaxed with GGA-PBE; Cu Kα, 1.54184 Å).

Structural model:
```
data_TbNdIrCl
_cell_length_a 4.0698
_cell_length_b 4.0698
_cell_length_c 22.7912
_cell_angle_alpha 90.00
_cell_angle_beta 90.00
_cell_angle_gamma 120.00
_symmetry_space_group_name_H-M 'R 3 m'
_symmetry_Int_Tables_number 160
_symmetry_space_group_name_Hall 'R 3 -2"'
loop_
_atom_site_label
_atom_site_fract_x
_atom_site_fract_y
_atom_site_fract_z
Tb1 0.0000 0.0000 0.0000
Nd1 0.0000 0.0000 0.7988
Ir1 0.0000 0.0000 0.3970
Cl1 0.0000 0.0000 0.5706
```

Most intense lines, 10 to 90 degrees two-theta, by angle:
- 2θ 11.65, 7.597 Å, rel. 81, hkl 0 0 3
- 2θ 26.47, 3.367 Å, rel. 42, hkl 0 1 2
- 2θ 32.10, 2.788 Å, rel. 100, hkl 0 1 5
- 2θ 37.61, 2.392 Å, rel. 20, hkl 1 0 7
- 2θ 44.52, 2.035 Å, rel. 42, hkl 1 1 0
- 2θ 47.51, 1.914 Å, rel. 30, hkl 1 0 10
- 2θ 55.94, 1.644 Å, rel. 21, hkl 2 0 5
- 2θ 74.16, 1.279 Å, rel. 18, hkl 1 2 5


Structure and simulated X-ray diffraction stick pattern of Ba2LiGe2S6 (a crystal structure in Alexandria, relaxed with GGA-PBE; Cu Kα, 1.54184 Å).

Structural model:
```
data_Ba2LiGe2S6
_cell_length_a 12.0101
_cell_length_b 6.9418
_cell_length_c 7.8589
_cell_angle_alpha 90.00
_cell_angle_beta 118.79
_cell_angle_gamma 90.00
_symmetry_space_group_name_H-M 'C 1 2/m 1'
_symmetry_Int_Tables_number 12
loop_
_symmetry_equiv_pos_as_xyz
'x,y,z'
'-x,-y,-z'
'-x,y,-z'
'x,-y,z'
'x+1/2,y+1/2,z'
'-x+1/2,-y+1/2,-z'
'-x+1/2,y+1/2,-z'
'x+1/2,-y+1/2,z'
loop_
_atom_site_label
_atom_site_fract_x
_atom_site_fract_y
_atom_site_fract_z
Ba1 0.2130 0.0000 0.2117
Li1 0.0000 0.0000 0.5000
Ge1 0.0330 0.5000 0.1856
S1 0.0583 0.2328 0.7957
S2 0.2400 0.5000 0.3501
```

Most intense lines, 10 to 90 degrees two-theta, by angle:
- 2θ 22.52, 3.948 Å, rel. 32, hkl 1 1 1
- 2θ 25.69, 3.468 Å, rel. 100, hkl 0 2 0
- 2θ 25.87, 3.444 Å, rel. 63, hkl 0 0 2
- 2θ 28.51, 3.131 Å, rel. 31, hkl 3 1 0
- 2θ 34.78, 2.580 Å, rel. 33, hkl 2 2 -2
- 2θ 37.31, 2.410 Å, rel. 41, hkl 3 1 -3
- 2θ 46.87, 1.939 Å, rel. 29, hkl 3 1 2
- 2θ 54.23, 1.691 Å, rel. 31, hkl 6 2 -1


Structure and simulated X-ray diffraction stick pattern of Pu2NbFeN5 (a crystal structure in Alexandria, relaxed with GGA-PBE; Cu Kα, 1.54184 Å).

Structural model:
```
data_Pu2NbFeN5
_cell_length_a 3.1961
_cell_length_b 12.8403
_cell_length_c 10.0516
_cell_angle_alpha 90.00
_cell_angle_beta 90.00
_cell_angle_gamma 90.00
_symmetry_space_group_name_H-M 'C m c 21'
_symmetry_Int_Tables_number 36
loop_
_symmetry_equiv_pos_as_xyz
'x,y,z'
'-x,-y,z+1/2'
'-x,y,z'
'x,-y,z+1/2'
'x+1/2,y+1/2,z'
'-x+1/2,-y+1/2,z+1/2'
'-x+1/2,y+1/2,z'
'x+1/2,-y+1/2,z+1/2'
loop_
_atom_site_label
_atom_site_fract_x
_atom_site_fract_y
_atom_site_fract_z
Pu1 0.0000 0.1038 0.0000
Pu2 0.0000 0.1453 0.6143
Nb1 0.0000 0.2033 0.3197
Fe1 0.0000 0.4824 0.7692
N1 0.0000 0.0457 0.3719
N2 0.0000 0.2848 0.9667
N3 0.0000 0.3254 0.6764
N4 0.0000 0.3676 0.3039
N5 0.0000 0.4851 0.0891
```

Most intense lines, 10 to 90 degrees two-theta, by angle:
- 2θ 17.65, 5.026 Å, rel. 34, hkl 0 0 2
- 2θ 28.79, 3.101 Å, rel. 44, hkl 1 1 0
- 2θ 29.20, 3.058 Å, rel. 29, hkl 0 4 1
- 2θ 30.09, 2.970 Å, rel. 100, hkl 0 2 3
- 2θ 33.11, 2.705 Å, rel. 53, hkl 0 4 2
- 2θ 33.97, 2.639 Å, rel. 55, hkl 1 1 2
- 2θ 35.04, 2.561 Å, rel. 57, hkl 1 3 0
- 2θ 39.60, 2.276 Å, rel. 81, hkl 1 1 3


Structure and simulated X-ray diffraction stick pattern of Cs5K2 (a crystal structure in Alexandria, relaxed with GGA-PBE; Cu Kα, 1.54184 Å).

Structural model:
```
data_Cs5K2
_cell_length_a 23.2959
_cell_length_b 8.9997
_cell_length_c 13.6416
_cell_angle_alpha 90.00
_cell_angle_beta 94.06
_cell_angle_gamma 90.00
_symmetry_space_group_name_H-M 'C 1 2/c 1'
_symmetry_Int_Tables_number 15
loop_
_symmetry_equiv_pos_as_xyz
'x,y,z'
'-x,-y,-z'
'-x,y,-z+1/2'
'x,-y,z+1/2'
'x+1/2,y+1/2,z'
'-x+1/2,-y+1/2,-z'
'-x+1/2,y+1/2,-z+1/2'
'x+1/2,-y+1/2,z+1/2'
loop_
_atom_site_label
_atom_site_fract_x
_atom_site_fract_y
_atom_site_fract_z
Cs1 0.0000 0.1914 0.2500
Cs2 0.1320 0.1748 0.9597
Cs3 0.2165 0.3420 0.3255
K1 0.0697 0.3292 0.6084
```

Most intense lines, 10 to 90 degrees two-theta, by angle:
- 2θ 19.43, 4.570 Å, rel. 23, hkl 3 1 -2
- 2θ 19.73, 4.500 Å, rel. 13, hkl 0 2 0
- 2θ 20.80, 4.271 Å, rel. 39, hkl 4 0 2
- 2θ 22.07, 4.028 Å, rel. 100, hkl 1 1 -3
- 2θ 22.33, 3.981 Å, rel. 43, hkl 2 2 1
- 2θ 28.61, 3.120 Å, rel. 15, hkl 1 1 4
- 2θ 34.35, 2.611 Å, rel. 21, hkl 3 3 -2
- 2θ 40.49, 2.228 Å, rel. 23, hkl 1 3 4


Structure and simulated X-ray diffraction stick pattern of Ac4Sm5Y2 (a crystal structure in Alexandria, relaxed with GGA-PBE; Cu Kα, 1.54184 Å).

Structural model:
```
data_Ac4Sm5Y2
_cell_length_a 19.0929
_cell_length_b 5.3536
_cell_length_c 8.2944
_cell_angle_alpha 90.00
_cell_angle_beta 104.49
_cell_angle_gamma 90.00
_symmetry_space_group_name_H-M 'C 1 2/m 1'
_symmetry_Int_Tables_number 12
loop_
_symmetry_equiv_pos_as_xyz
'x,y,z'
'-x,-y,-z'
'-x,y,-z'
'x,-y,z'
'x+1/2,y+1/2,z'
'-x+1/2,-y+1/2,-z'
'-x+1/2,y+1/2,-z'
'x+1/2,-y+1/2,z'
loop_
_atom_site_label
_atom_site_fract_x
_atom_site_fract_y
_atom_site_fract_z
Ac1 0.0435 0.0000 0.2307
Ac2 0.1820 0.5000 0.4090
Sm1 0.0000 0.5000 0.5000
Sm2 0.1389 0.0000 0.6913
Sm3 0.2262 0.0000 0.1253
Y1 0.0923 0.5000 0.9493
```

Most intense lines, 10 to 90 degrees two-theta, by angle:
- 2θ 29.16, 3.062 Å, rel. 100, hkl 5 1 -1
- 2θ 33.48, 2.677 Å, rel. 18, hkl 0 2 0
- 2θ 33.66, 2.662 Å, rel. 17, hkl 6 0 1
- 2θ 34.25, 2.618 Å, rel. 16, hkl 4 0 -3
- 2θ 57.22, 1.610 Å, rel. 15, hkl 5 3 -1
- 2θ 57.46, 1.604 Å, rel. 15, hkl 11 1 0
- 2θ 58.24, 1.584 Å, rel. 14, hkl 9 1 -4
- 2θ 60.46, 1.531 Å, rel. 13, hkl 10 2 -2


Structure and simulated X-ray diffraction stick pattern of SrIn2Bi2 (a crystal structure in Alexandria, relaxed with GGA-PBE; Cu Kα, 1.54184 Å).

Structural model:
```
data_SrIn2Bi2
_cell_length_a 4.8013
_cell_length_b 27.7742
_cell_length_c 4.7193
_cell_angle_alpha 90.00
_cell_angle_beta 90.00
_cell_angle_gamma 90.00
_symmetry_space_group_name_H-M 'C m c m'
_symmetry_Int_Tables_number 63
_symmetry_space_group_name_Hall '-C 2c 2'
loop_
_atom_site_label
_atom_site_fract_x
_atom_site_fract_y
_atom_site_fract_z
Sr1 0.0000 0.1527 0.2500
In1 0.0000 0.0443 0.7500
In2 0.0000 0.4541 0.7500
Bi1 0.0000 0.2508 0.7500
Bi2 0.0000 0.3680 0.2500
```

Most intense lines, 10 to 90 degrees two-theta, by angle:
- 2θ 31.07, 2.879 Å, rel. 100, hkl 1 5 1
- 2θ 32.23, 2.777 Å, rel. 17, hkl 0 10 0
- 2θ 37.46, 2.401 Å, rel. 17, hkl 2 0 0
- 2θ 38.14, 2.360 Å, rel. 16, hkl 0 0 2
- 2θ 50.23, 1.816 Å, rel. 10, hkl 2 10 0
- 2θ 54.53, 1.683 Å, rel. 11, hkl 2 0 2
- 2θ 63.64, 1.462 Å, rel. 13, hkl 3 5 1
- 2θ 64.56, 1.444 Å, rel. 12, hkl 1 5 3


Structure and simulated X-ray diffraction stick pattern of Ac2Mg3Ga4 (a crystal structure in Alexandria, relaxed with GGA-PBE; Cu Kα, 1.54184 Å).

Structural model:
```
data_Ac2Mg3Ga4
_cell_length_a 6.3116
_cell_length_b 16.8446
_cell_length_c 8.3316
_cell_angle_alpha 90.00
_cell_angle_beta 90.00
_cell_angle_gamma 90.00
_symmetry_space_group_name_H-M 'C m c e'
_symmetry_Int_Tables_number 64
_symmetry_space_group_name_Hall '-C 2ac 2'
loop_
_atom_site_label
_atom_site_fract_x
_atom_site_fract_y
_atom_site_fract_z
Ac1 0.0000 0.1052 0.0937
Mg1 0.0000 0.0000 0.5000
Mg2 0.2500 0.2248 0.7500
Ga1 0.0000 0.1749 0.4848
Ga2 0.2500 0.0604 0.7500
```

Most intense lines, 10 to 90 degrees two-theta, by angle:
- 2θ 18.40, 4.821 Å, rel. 55, hkl 1 1 1
- 2θ 21.10, 4.211 Å, rel. 34, hkl 0 4 0
- 2θ 26.17, 3.405 Å, rel. 32, hkl 1 1 2
- 2θ 30.23, 2.957 Å, rel. 74, hkl 1 3 2
- 2θ 31.97, 2.800 Å, rel. 100, hkl 1 5 1
- 2θ 32.14, 2.785 Å, rel. 51, hkl 2 2 1
- 2θ 33.99, 2.638 Å, rel. 54, hkl 0 2 3
- 2θ 35.70, 2.515 Å, rel. 49, hkl 2 0 2


Structure and simulated X-ray diffraction stick pattern of LiPu2PbO8 (a crystal structure in Alexandria, relaxed with GGA-PBE; Cu Kα, 1.54184 Å).

Structural model:
```
data_LiPu2PbO8
_cell_length_a 5.7204
_cell_length_b 5.7204
_cell_length_c 5.8244
_cell_angle_alpha 90.00
_cell_angle_beta 90.00
_cell_angle_gamma 120.00
_symmetry_space_group_name_H-M 'P -3'
_symmetry_Int_Tables_number 147
loop_
_symmetry_equiv_pos_as_xyz
'x,y,z'
'-x,-y,-z'
'-y,x-y,z'
'y,-x+y,-z'
'-x+y,-x,z'
'x-y,x,-z'
loop_
_atom_site_label
_atom_site_fract_x
_atom_site_fract_y
_atom_site_fract_z
Li1 0.0000 0.0000 0.0000
Pu1 0.3333 0.6667 0.9261
Pb1 0.0000 0.0000 0.5000
O1 0.0577 0.3591 0.1553
O2 0.3333 0.6667 0.6041
```

Most intense lines, 10 to 90 degrees two-theta, by angle:
- 2θ 15.21, 5.824 Å, rel. 15, hkl 0 0 1
- 2θ 23.58, 3.774 Å, rel. 100, hkl 0 1 1
- 2θ 31.27, 2.860 Å, rel. 58, hkl 1 1 0
- 2θ 39.54, 2.279 Å, rel. 30, hkl 2 0 1
- 2θ 44.39, 2.041 Å, rel. 28, hkl 2 -1 2
- 2θ 50.49, 1.808 Å, rel. 17, hkl 0 1 3
- 2θ 51.25, 1.783 Å, rel. 27, hkl 3 -2 1
- 2θ 55.66, 1.651 Å, rel. 16, hkl 3 0 0


Structure and simulated X-ray diffraction stick pattern of Ca3ErF8 (a crystal structure in Alexandria, relaxed with GGA-PBE; Cu Kα, 1.54184 Å).

Structural model:
```
data_Ca3ErF8
_cell_length_a 5.5741
_cell_length_b 5.5741
_cell_length_c 5.5741
_cell_angle_alpha 90.00
_cell_angle_beta 90.00
_cell_angle_gamma 90.00
_symmetry_space_group_name_H-M 'P m -3 m'
_symmetry_Int_Tables_number 221
_symmetry_space_group_name_Hall '-P 4 2 3'
loop_
_atom_site_label
_atom_site_fract_x
_atom_site_fract_y
_atom_site_fract_z
Ca1 0.0000 0.0000 0.5000
Er1 0.5000 0.5000 0.5000
F1 0.2650 0.2650 0.2650
```

Most intense lines, 10 to 90 degrees two-theta, by angle:
- 2θ 15.90, 5.574 Å, rel. 60, hkl 1 0 0
- 2θ 22.56, 3.942 Å, rel. 43, hkl 1 1 0
- 2θ 27.72, 3.218 Å, rel. 100, hkl 1 1 1
- 2θ 36.03, 2.493 Å, rel. 20, hkl 2 1 0
- 2θ 39.60, 2.276 Å, rel. 20, hkl 2 1 1
- 2θ 46.06, 1.971 Å, rel. 80, hkl 2 2 0
- 2θ 54.61, 1.681 Å, rel. 42, hkl 3 1 1
- 2θ 85.30, 1.138 Å, rel. 21, hkl 4 2 2


Structure and simulated X-ray diffraction stick pattern of CaY3Ru (a crystal structure in Alexandria, relaxed with GGA-PBE; Cu Kα, 1.54184 Å).

Structural model:
Cell: 14.5396 14.5396 14.5396 Å, 90.00 90.00 90.00°
Space group Fd-3m (No. 227, origin choice 2)
One atom of each set of equivalent atoms:
Ca: 0.0000 0.0000 0.0000 (multiplicity 16)
Y: 0.0598 0.3750 0.8750 (multiplicity 48)
Ru: 0.0000 0.0000 0.5000 (multiplicity 16)

Most intense lines, 10 to 90 degrees two-theta, by angle:
- 2θ 10.54, 8.394 Å, rel. 100, hkl 1 1 1
- 2θ 21.17, 4.197 Å, rel. 40, hkl 2 2 2
- 2θ 30.11, 2.968 Å, rel. 38, hkl 4 2 2
- 2θ 31.98, 2.798 Å, rel. 40, hkl 3 3 3
- 2θ 34.91, 2.570 Å, rel. 38, hkl 4 4 0
- 2θ 41.18, 2.192 Å, rel. 20, hkl 6 2 2
- 2θ 44.50, 2.036 Å, rel. 25, hkl 5 5 1
- 2θ 53.48, 1.714 Å, rel. 31, hkl 6 6 0


Structure and simulated X-ray diffraction stick pattern of BeAlTc (a crystal structure in Alexandria, relaxed with GGA-PBE; Cu Kα, 1.54184 Å).

Structural model:
```
data_BeAlTc
_cell_length_a 4.1732
_cell_length_b 4.3224
_cell_length_c 8.3866
_cell_angle_alpha 90.00
_cell_angle_beta 90.00
_cell_angle_gamma 90.00
_symmetry_space_group_name_H-M 'A m a 2'
_symmetry_Int_Tables_number 40
loop_
_symmetry_equiv_pos_as_xyz
'x,y,z'
'-x,-y,z'
'-x+1/2,y,z'
'x+1/2,-y,z'
'x,y+1/2,z+1/2'
'-x,-y+1/2,z+1/2'
'-x+1/2,y+1/2,z+1/2'
'x+1/2,-y+1/2,z+1/2'
loop_
_atom_site_label
_atom_site_fract_x
_atom_site_fract_y
_atom_site_fract_z
Be1 0.2500 0.1750 0.0000
Al1 0.2500 0.1984 0.3278
Tc1 0.2500 0.1967 0.6438
```

Most intense lines, 10 to 90 degrees two-theta, by angle:
- 2θ 21.19, 4.193 Å, rel. 66, hkl 0 0 2
- 2θ 31.65, 2.827 Å, rel. 100, hkl 1 1 1
- 2θ 41.80, 2.161 Å, rel. 18, hkl 0 2 0
- 2θ 43.37, 2.087 Å, rel. 26, hkl 2 0 0
- 2θ 44.27, 2.046 Å, rel. 86, hkl 1 1 3
- 2θ 47.35, 1.920 Å, rel. 26, hkl 1 2 0
- 2θ 48.75, 1.868 Å, rel. 14, hkl 2 0 2
- 2θ 80.21, 1.197 Å, rel. 15, hkl 3 1 3